Record 1
Bi4Pt2Au: computed powder X-ray diffraction pattern (Cu Kα, 1.54184 Å), based on a GGA-PBE-relaxed structure.
Lines closer than 0.1° are merged.

Principal peaks in the range 15 to 90 degrees two-theta, sorted by position:
- d 3.335, 2θ 26.7, intensity 25
- d 3.254, 2θ 27.4, intensity 56
- d 2.785, 2θ 32.1, intensity 60
- d 2.421, 2θ 37.1, intensity 55
- d 2.288, 2θ 39.4, intensity 100
- d 2.198, 2θ 41.1, intensity 31
- d 2.186, 2θ 41.3, intensity 25
- d 2.109, 2θ 42.9, intensity 36

Structure:
```
7
Lattice="5.599 0.000 0.000 0.000 4.218 0.000 -1.948 0.000 8.174" Properties=species:S:1:pos:R:3 pbc="T T T"
Bi 0.080 0.000 1.610
Bi 0.658 2.109 5.758
Bi 2.993 2.109 2.416
Bi 3.572 0.000 6.564
Pt 1.389 2.109 0.210
Pt 2.262 2.109 7.964
Au 1.826 0.000 4.087
```

---

Record 2
Bi2PtAu: computed powder X-ray diffraction pattern (Cu Kα, 1.54184 Å), based on a GGA-PBE-relaxed structure.
Lines closer than 0.1° are merged.

Principal peaks in the range 15 to 90 degrees two-theta, sorted by position:
- d 2.863, 2θ 31.2, intensity 85
- d 2.581, 2θ 34.8, intensity 56
- d 2.445, 2θ 36.8, intensity 35
- d 2.360, 2θ 38.1, intensity 74
- d 2.330, 2θ 38.6, intensity 100
- d 2.203, 2θ 41.0, intensity 57
- d 2.137, 2θ 42.3, intensity 51
- d 1.584, 2θ 58.3, intensity 44

Structure:
```
16
Lattice="4.273 -7.713 0.000 4.273 7.713 0.000 0.000 0.000 5.961" Properties=species:S:1:pos:R:3 pbc="T T T"
Bi 4.273 6.847 4.472
Bi 2.137 2.111 4.471
Bi 2.137 -2.111 1.490
Bi 4.273 0.866 1.491
Bi 4.273 -0.866 4.470
Bi 6.410 2.111 4.471
Bi 6.410 -2.111 1.490
Bi 4.273 -6.847 1.489
Pt 2.137 2.694 1.490
Pt 2.137 -2.694 4.471
Pt 6.410 2.694 1.490
Pt 6.410 -2.694 4.471
Au 4.273 3.863 2.977
Au 4.273 3.850 5.957
Au 4.273 -3.850 0.004
Au 4.273 -3.863 2.985
```

---

Record 3
Bi2PtAu: computed powder X-ray diffraction pattern (Cu Kα, 1.54184 Å), based on a GGA-PBE-relaxed structure.
Lines closer than 0.1° are merged.

Principal peaks in the range 15 to 90 degrees two-theta, sorted by position:
- d 2.769, 2θ 32.3, intensity 97
- d 2.591, 2θ 34.6, intensity 100
- d 2.437, 2θ 36.9, intensity 67
- d 2.258, 2θ 39.9, intensity 44
- d 2.018, 2θ 44.9, intensity 35
- d 1.993, 2θ 45.5, intensity 25
- d 1.554, 2θ 59.5, intensity 36
- d 1.400, 2θ 66.8, intensity 27

Structure:
```
16
Lattice="6.977 0.000 0.000 0.000 4.036 0.000 0.000 0.000 13.621" Properties=species:S:1:pos:R:3 pbc="T T T"
Bi 0.000 0.000 0.000
Bi 0.000 0.000 3.423
Bi 0.000 2.018 6.811
Bi 0.000 2.018 10.234
Bi 3.489 0.000 2.406
Bi 3.489 0.000 6.415
Bi 3.489 2.018 9.217
Bi 3.489 2.018 13.226
Pt 1.409 0.000 8.427
Pt 1.409 2.018 1.617
Pt 5.569 0.000 8.427
Pt 5.569 2.018 1.617
Au 2.052 0.000 11.343
Au 2.052 2.018 4.532
Au 4.925 0.000 11.343
Au 4.925 2.018 4.532
```

---

Record 4
TbBiPtAu: computed powder X-ray diffraction pattern (Cu Kα, 1.54184 Å), based on a GGA-PBE-relaxed structure.
Lines closer than 0.1° are merged.

Principal peaks in the range 15 to 90 degrees two-theta, sorted by position:
- d 4.096, 2θ 21.7, intensity 1
- d 2.508, 2θ 35.8, intensity 100
- d 2.139, 2θ 42.3, intensity 1
- d 1.774, 2θ 51.5, intensity 18
- d 1.448, 2θ 64.3, intensity 37
- d 1.254, 2θ 75.9, intensity 12
- d 1.122, 2θ 86.8, intensity 17

Structure:
```
16
Lattice="7.094 0.000 0.000 0.000 7.094 0.000 0.000 0.000 7.094" Properties=species:S:1:pos:R:3 pbc="T T T"
Tb 0.000 0.000 0.000
Tb 0.000 3.547 3.547
Tb 3.547 0.000 3.547
Tb 3.547 3.547 0.000
Bi 0.000 0.000 3.547
Bi 0.000 3.547 0.000
Bi 3.547 0.000 0.000
Bi 3.547 3.547 3.547
Pt 1.774 1.774 5.321
Pt 1.774 5.321 1.774
Pt 5.321 1.774 1.774
Pt 5.321 5.321 5.321
Au 1.774 1.774 1.774
Au 1.774 5.321 5.321
Au 5.321 1.774 5.321
Au 5.321 5.321 1.774
```